Structure and computed powder XRD pattern of Pr5Th3Se8 (a cell relaxed with PBE; Cu Kα X-rays).
No peak broadening, texture or thermal motion is included.

Peak list (12 most intense, 15 to 90 degrees two-theta, by angle)
| hkl | d (Å) | 2θ/deg | Rel. int. |
| --- | --- | --- | --- |
| 2 0 2 | 3.450 | 25.82 | 18.9 |
| 0 2 4 | 2.998 | 29.81 | 100.0 |
| 2 0 8 | 2.130 | 42.44 | 38.3 |
| 2 2 0 | 2.109 | 42.87 | 37.2 |
| 2 2 6 | 1.806 | 50.54 | 6.5 |
| 0 0 12 | 1.748 | 52.35 | 6.9 |
| 4 0 4 | 1.725 | 53.09 | 19.9 |
| 0 4 8 | 1.499 | 61.91 | 12.5 |
| 2 2 12 | 1.346 | 69.89 | 17.5 |
| 2 4 4 | 1.335 | 70.52 | 17.1 |
| 0 2 16 | 1.234 | 77.34 | 6.6 |
| 4 2 8 | 1.222 | 78.25 | 12.8 |

```
data_Pr5Th3Se8
_chemical_formula_sum 'Pr15 Th9 Se24'
_cell_length_a 8.4374
_cell_length_b 8.4374
_cell_length_c 20.9738
_cell_angle_alpha 90.00
_cell_angle_beta 90.00
_cell_angle_gamma 120.00
_symmetry_space_group_name_H-M 'R -3 m'
_symmetry_Int_Tables_number 166
_symmetry_space_group_name_Hall '-R 3 2"'
loop_
_atom_site_label
_atom_site_fract_x
_atom_site_fract_y
_atom_site_fract_z
_atom_site_occupancy
Pr1 0.0000 0.0000 0.0000 1
Pr2 0.0000 0.0000 0.5000 1
Pr3 0.0000 0.5000 0.0000 1
Th1 0.0000 0.5000 0.5000 1
Se1 0.0000 0.0000 0.2493 1
Se2 0.0016 0.5008 0.7507 1
```

Structure and computed powder XRD pattern of MgIn2Rh2 (a cell relaxed with PBE; Cu Kα X-rays).
No peak broadening, texture or thermal motion is included.

Peak list (12 most intense, 15 to 90 degrees two-theta, by angle)
| hkl | d (Å) | 2θ/deg | Rel. int. |
| --- | --- | --- | --- |
| 0 1 1 | 5.593 | 15.85 | 13.7 |
| 1 0 1 | 4.337 | 20.48 | 32.1 |
| 1 1 2 | 3.234 | 27.58 | 10.5 |
| 0 2 2 | 2.796 | 32.01 | 9.2 |
| 0 0 6 | 2.296 | 39.24 | 27.2 |
| 2 0 0 | 2.285 | 39.43 | 33.7 |
| 1 2 3 | 2.224 | 40.56 | 100.0 |
| 2 0 6 | 1.620 | 56.85 | 17.9 |
| 1 2 9 | 1.311 | 72.01 | 17.1 |
| 3 2 3 | 1.307 | 72.28 | 17.3 |
| 2 4 0 | 1.271 | 74.66 | 7.9 |
| 2 4 6 | 1.112 | 87.76 | 10.5 |

```
data_MgIn2Rh2
_chemical_formula_sum 'Mg4 In8 Rh8'
_cell_length_a 4.570
_cell_length_b 6.120
_cell_length_c 13.777
_cell_angle_alpha 90.00
_cell_angle_beta 90.00
_cell_angle_gamma 90.00
_symmetry_space_group_name_H-M 'I m m a'
_symmetry_Int_Tables_number 74
_symmetry_space_group_name_Hall '-I 2b 2'
loop_
_atom_site_label
_atom_site_fract_x
_atom_site_fract_y
_atom_site_fract_z
_atom_site_occupancy
Mg1 0.000 0.250 0.172 1
In1 0.000 0.250 0.498 1
In2 0.000 0.250 0.836 1
Rh1 0.000 0.000 0.337 1
```

Structure and computed powder XRD pattern of LaCeAl2O6 (a cell relaxed with PBE; Cu Kα X-rays).
No peak broadening, texture or thermal motion is included.

Peak list (12 most intense, 15 to 90 degrees two-theta, by angle)
| hkl | d (Å) | 2θ/deg | Rel. int. |
| --- | --- | --- | --- |
| 0 1 2 | 3.809 | 23.35 | 96.5 |
| 1 1 0 | 2.698 | 33.20 | 97.8 |
| 1 0 4 | 2.689 | 33.32 | 100.0 |
| 2 0 2 | 2.202 | 40.99 | 60.4 |
| 0 0 6 | 2.192 | 41.19 | 21.0 |
| 0 2 4 | 1.905 | 47.75 | 68.6 |
| 1 2 2 | 1.706 | 53.73 | 23.0 |
| 1 1 6 | 1.701 | 53.89 | 21.1 |
| 3 0 0 | 1.557 | 59.37 | 61.6 |
| 0 1 8 | 1.551 | 59.62 | 19.4 |
| 2 2 0 | 1.349 | 69.70 | 19.2 |
| 2 0 8 | 1.344 | 69.97 | 20.2 |

```
data_LaCeAl2O6
_chemical_formula_sum 'La3 Ce3 Al6 O18'
_cell_length_a 5.3968
_cell_length_b 5.3968
_cell_length_c 13.1504
_cell_angle_alpha 90.00
_cell_angle_beta 90.00
_cell_angle_gamma 120.00
_symmetry_space_group_name_H-M 'R 3 2'
_symmetry_Int_Tables_number 155
_symmetry_space_group_name_Hall 'R 3 2"'
loop_
_atom_site_label
_atom_site_fract_x
_atom_site_fract_y
_atom_site_fract_z
_atom_site_occupancy
La1 0.0000 0.0000 0.0000 1
Ce1 0.0000 0.0000 0.5000 1
Al1 0.0000 0.0000 0.2501 1
O1 0.0000 0.4558 0.5000 1
O2 0.0000 0.5403 0.0000 1
```

Structure and computed powder XRD pattern of Sc8Ag2Pt (a cell relaxed with PBE; Cu Kα X-rays).
No peak broadening, texture or thermal motion is included.

Peak list (12 most intense, 15 to 90 degrees two-theta, by angle)
| hkl | d (Å) | 2θ/deg | Rel. int. |
| --- | --- | --- | --- |
| 2 0 1 | 4.158 | 21.37 | 56.2 |
| 1 1 -1 | 3.882 | 22.91 | 89.6 |
| 4 0 -1 | 3.858 | 23.05 | 51.1 |
| 3 1 0 | 3.510 | 25.37 | 63.2 |
| 1 1 -2 | 2.681 | 33.42 | 46.6 |
| 5 1 -1 | 2.660 | 33.69 | 45.7 |
| 6 0 0 | 2.544 | 35.29 | 35.3 |
| 1 1 2 | 2.445 | 36.76 | 100.0 |
| 0 2 0 | 2.425 | 37.07 | 80.3 |
| 5 1 -2 | 2.319 | 38.83 | 73.6 |
| 7 1 -1 | 2.084 | 43.42 | 33.7 |
| 3 1 -3 | 1.971 | 46.04 | 29.7 |

```
data_Sc8Ag2Pt
_chemical_formula_sum 'Sc16 Ag4 Pt2'
_cell_length_a 16.160
_cell_length_b 4.851
_cell_length_c 6.492
_cell_angle_alpha 90.00
_cell_angle_beta 109.21
_cell_angle_gamma 90.00
_symmetry_space_group_name_H-M 'C 1 2/m 1'
_symmetry_Int_Tables_number 12
loop_
_symmetry_equiv_pos_as_xyz
'x,y,z'
'-x,-y,-z'
'-x,y,-z'
'x,-y,z'
'x+1/2,y+1/2,z'
'-x+1/2,-y+1/2,-z'
'-x+1/2,y+1/2,-z'
'x+1/2,-y+1/2,z'
loop_
_atom_site_label
_atom_site_fract_x
_atom_site_fract_y
_atom_site_fract_z
_atom_site_occupancy
Sc1 0.025 0.000 0.282 1
Sc2 0.093 0.500 0.941 1
Sc3 0.163 0.500 0.462 1
Sc4 0.196 0.000 0.796 1
Ag1 0.182 0.000 0.203 1
Pt1 0.000 0.500 0.500 1
```

Structure and computed powder XRD pattern of CsYBeO3 (a cell relaxed with PBE; Cu Kα X-rays).
No peak broadening, texture or thermal motion is included.

Peak list (12 most intense, 15 to 90 degrees two-theta, by angle)
| hkl | d (Å) | 2θ/deg | Rel. int. |
| --- | --- | --- | --- |
| 1 0 1 | 4.511 | 19.68 | 29.8 |
| 0 0 2 | 3.809 | 23.35 | 48.4 |
| 2 0 0 | 3.685 | 24.15 | 62.5 |
| 2 0 -2 | 3.360 | 26.53 | 75.4 |
| 1 1 0 | 3.137 | 28.45 | 92.7 |
| 1 0 2 | 2.958 | 30.22 | 20.1 |
| 1 1 -2 | 2.640 | 33.96 | 100.0 |
| 0 1 2 | 2.564 | 35.00 | 37.8 |
| 2 1 1 | 2.230 | 40.45 | 22.1 |
| 3 1 -2 | 2.055 | 44.07 | 32.0 |
| 2 1 2 | 1.891 | 48.12 | 27.5 |
| 0 2 0 | 1.733 | 52.81 | 18.6 |

```
data_CsYBeO3
_chemical_formula_sum 'Cs2 Y2 Be2 O6'
_cell_length_a 7.964
_cell_length_b 3.467
_cell_length_c 8.233
_cell_angle_alpha 90.00
_cell_angle_beta 112.26
_cell_angle_gamma 90.00
_symmetry_space_group_name_H-M 'P 1 21/m 1'
_symmetry_Int_Tables_number 11
loop_
_symmetry_equiv_pos_as_xyz
'x,y,z'
'-x,-y,-z'
'-x,y+1/2,-z'
'x,-y+1/2,z'
loop_
_atom_site_label
_atom_site_fract_x
_atom_site_fract_y
_atom_site_fract_z
_atom_site_occupancy
Cs1 0.241 0.250 0.211 1
Y1 0.160 0.250 0.665 1
Be1 0.394 0.750 0.938 1
O1 0.146 0.750 0.479 1
O2 0.183 0.750 0.859 1
O3 0.459 0.250 0.870 1
```

Structure and computed powder XRD pattern of Ta4Ni3 (a cell relaxed with PBE; Cu Kα X-rays).
No peak broadening, texture or thermal motion is included.

Peak list (12 most intense, 15 to 90 degrees two-theta, by angle)
| hkl | d (Å) | 2θ/deg | Rel. int. |
| --- | --- | --- | --- |
| 0 0 4 | 5.361 | 16.54 | 9.1 |
| 1 0 3 | 2.886 | 30.98 | 25.9 |
| 1 0 5 | 2.541 | 35.32 | 14.5 |
| 1 1 0 | 2.231 | 40.44 | 61.7 |
| 1 0 7 | 2.198 | 41.07 | 100.0 |
| 2 0 0 | 1.577 | 58.52 | 20.7 |
| 1 1 12 | 1.395 | 67.11 | 7.4 |
| 2 1 3 | 1.384 | 67.69 | 6.1 |
| 2 1 7 | 1.281 | 73.97 | 34.7 |
| 1 1 14 | 1.263 | 75.25 | 9.8 |
| 2 2 0 | 1.115 | 87.45 | 6.8 |
| 2 0 14 | 1.099 | 89.10 | 6.6 |

```
data_Ta4Ni3
_chemical_formula_sum 'Ta8 Ni6'
_cell_length_a 3.155
_cell_length_b 3.155
_cell_length_c 21.444
_cell_angle_alpha 90.00
_cell_angle_beta 90.00
_cell_angle_gamma 90.00
_symmetry_space_group_name_H-M 'I 4/m m m'
_symmetry_Int_Tables_number 139
_symmetry_space_group_name_Hall '-I 4 2'
loop_
_atom_site_label
_atom_site_fract_x
_atom_site_fract_y
_atom_site_fract_z
_atom_site_occupancy
Ta1 0.000 0.000 0.071 1
Ta2 0.000 0.000 0.343 1
Ni1 0.000 0.000 0.218 1
Ni2 0.000 0.000 0.500 1
```

Structure and computed powder XRD pattern of Sb3Au4 (a cell relaxed with PBE; Cu Kα X-rays).
No peak broadening, texture or thermal motion is included.

Peak list (12 most intense, 15 to 90 degrees two-theta, by angle)
| hkl | d (Å) | 2θ/deg | Rel. int. |
| --- | --- | --- | --- |
| 2 0 0 | 5.519 | 16.06 | 39.4 |
| 3 0 0 | 3.680 | 24.19 | 100.0 |
| 3 1 0 | 3.062 | 29.17 | 18.3 |
| 1 1 1 | 2.865 | 31.22 | 69.2 |
| 2 0 1 | 2.773 | 32.28 | 23.7 |
| 2 2 1 | 2.261 | 39.88 | 47.4 |
| 1 3 1 | 2.215 | 40.74 | 38.8 |
| 3 3 0 | 2.124 | 42.55 | 80.2 |
| 4 1 1 | 1.926 | 47.19 | 50.6 |
| 5 2 1 | 1.548 | 59.73 | 18.7 |
| 7 1 1 | 1.330 | 70.83 | 19.2 |
| 3 3 2 | 1.280 | 74.07 | 31.6 |

```
data_Sb3Au4
_chemical_formula_sum 'Sb6 Au8'
_cell_length_a 12.7466
_cell_length_b 12.7466
_cell_length_c 3.2073
_cell_angle_alpha 90.00
_cell_angle_beta 90.00
_cell_angle_gamma 120.00
_symmetry_space_group_name_H-M 'P 63/m'
_symmetry_Int_Tables_number 176
_symmetry_space_group_name_Hall '-P 6c'
loop_
_atom_site_label
_atom_site_fract_x
_atom_site_fract_y
_atom_site_fract_z
_atom_site_occupancy
Sb1 0.2124 0.4463 0.2500 1
Au1 0.0073 0.3363 0.7500 1
Au2 0.3333 0.6667 0.7500 1
```

Structure and computed powder XRD pattern of KYTeO4 (a cell relaxed with PBE; Cu Kα X-rays).
No peak broadening, texture or thermal motion is included.

Peak list (12 most intense, 15 to 90 degrees two-theta, by angle)
| hkl | d (Å) | 2θ/deg | Rel. int. |
| --- | --- | --- | --- |
| 0 1 1 | 4.692 | 18.91 | 100.0 |
| 1 0 -2 | 3.697 | 24.07 | 26.8 |
| 1 1 1 | 3.287 | 27.13 | 91.5 |
| 1 1 -2 | 3.151 | 28.33 | 61.0 |
| 0 2 0 | 3.011 | 29.67 | 62.8 |
| 2 0 -1 | 2.941 | 30.40 | 30.7 |
| 2 1 -1 | 2.642 | 33.93 | 20.0 |
| 2 1 0 | 2.535 | 35.41 | 34.2 |
| 1 1 -3 | 2.391 | 37.61 | 31.2 |
| 2 2 -1 | 2.104 | 42.99 | 34.4 |
| 1 0 -4 | 1.972 | 46.03 | 18.0 |
| 1 3 1 | 1.787 | 51.10 | 24.5 |

```
data_KYTeO4
_chemical_formula_sum 'K2 Y2 Te2 O8'
_cell_length_a 5.892
_cell_length_b 6.022
_cell_length_c 7.890
_cell_angle_alpha 90.00
_cell_angle_beta 108.43
_cell_angle_gamma 90.00
_symmetry_space_group_name_H-M 'P 1 21/m 1'
_symmetry_Int_Tables_number 11
loop_
_symmetry_equiv_pos_as_xyz
'x,y,z'
'-x,-y,-z'
'-x,y+1/2,-z'
'x,-y+1/2,z'
loop_
_atom_site_label
_atom_site_fract_x
_atom_site_fract_y
_atom_site_fract_z
_atom_site_occupancy
K1 0.075 0.250 0.149 1
Y1 0.169 0.750 0.461 1
Te1 0.417 0.250 0.747 1
O1 0.167 0.010 0.670 1
O2 0.217 0.750 0.190 1
O3 0.427 0.250 0.504 1
```